Record 1
Structure and theoretical powder XRD pattern of Er5Si4 (a DFT-relaxed cell (GGA-PBE, OQMD); Cu Kα (weighted mean of Kα1 and Kα2)).
Lines closer than 0.1° are merged.

Peak list (12 most intense, 2θ from 15° to 90°, in order of rising 2θ)
- 24.68°, intensity 35.7
- 26.39°, intensity 29.0
- 27.23°, intensity 53.8
- 31.95°, intensity 100.0
- 32.79°, intensity 48.5
- 33.55°, intensity 54.2
- 34.28°, intensity 82.4
- 37.40°, intensity 30.6
- 37.96°, intensity 29.6
- 38.41°, intensity 71.0
- 50.88°, intensity 32.4
- 57.11°, intensity 35.3

Structure:
Cell: 14.4524 7.5974 7.4069 Å, 90.00 93.29 90.00°
Positions (direct):
Er (0.0984, 0.1808, 0.4971)
Er (0.0984, 0.3192, 0.9971)
Er (0.1206, 0.6665, 0.6465)
Er (0.1206, 0.8335, 0.1465)
Er (0.2462, 0.0057, 0.8265)
Er (0.2462, 0.4943, 0.3265)
Er (0.3776, 0.6783, 0.6724)
Er (0.3776, 0.8217, 0.1724)
Er (0.4000, 0.1831, 0.5217)
Er (0.4000, 0.3169, 0.0217)
Er (0.6000, 0.6831, 0.9783)
Er (0.6000, 0.8169, 0.4783)
Er (0.6224, 0.1783, 0.8276)
Er (0.6224, 0.3217, 0.3276)
Er (0.7538, 0.5057, 0.6735)
Er (0.7538, 0.9943, 0.1735)
Er (0.8794, 0.1665, 0.8535)
Er (0.8794, 0.3335, 0.3535)
Er (0.9016, 0.6808, 0.0029)
Er (0.9016, 0.8192, 0.5029)
Si (0.0415, 0.5353, 0.2990)
Si (0.0415, 0.9647, 0.7990)
Si (0.2519, 0.1302, 0.2112)
Si (0.2519, 0.3698, 0.7112)
Si (0.2520, 0.6072, 0.9550)
Si (0.2520, 0.8928, 0.4550)
Si (0.4589, 0.5279, 0.3520)
Si (0.4589, 0.9721, 0.8520)
Si (0.5411, 0.0279, 0.1480)
Si (0.5411, 0.4721, 0.6480)
Si (0.7480, 0.1072, 0.5450)
Si (0.7480, 0.3928, 0.0450)
Si (0.7481, 0.6302, 0.2888)
Si (0.7481, 0.8698, 0.7888)
Si (0.9585, 0.0353, 0.2010)
Si (0.9585, 0.4647, 0.7010)

Record 2
Structure and theoretical powder XRD pattern of SmErZn2Si2 (a DFT-relaxed cell (GGA-PBE, OQMD); Cu Kα (weighted mean of Kα1 and Kα2)).
Lines closer than 0.1° are merged.

Peak list (12 most intense, 2θ from 15° to 90°, in order of rising 2θ)
- 24.71°, intensity 29.9
- 25.35°, intensity 4.8
- 33.60°, intensity 100.0
- 43.51°, intensity 38.8
- 45.73°, intensity 8.8
- 52.66°, intensity 10.2
- 56.07°, intensity 22.9
- 64.96°, intensity 18.4
- 73.54°, intensity 20.3
- 76.75°, intensity 7.0
- 79.88°, intensity 6.4
- 86.73°, intensity 5.1

Structure:
Cell: 4.1598 4.1598 15.8738 Å, 90.00 90.00 120.00°
Positions (direct):
Sm (0.0000, 0.0000, 0.0000)
Sm (0.0000, 0.0000, 0.5000)
Er (0.0000, 0.0000, 0.2500)
Er (0.0000, 0.0000, 0.7500)
Zn (0.3333, 0.6667, 0.1434)
Zn (0.3333, 0.6667, 0.3566)
Zn (0.6667, 0.3333, 0.6434)
Zn (0.6667, 0.3333, 0.8566)
Si (0.3333, 0.6667, 0.6220)
Si (0.3333, 0.6667, 0.8780)
Si (0.6667, 0.3333, 0.1220)
Si (0.6667, 0.3333, 0.3780)

Record 3
Structure and theoretical powder XRD pattern of SrErSi2 (a DFT-relaxed cell (GGA-PBE, OQMD); Cu Kα (weighted mean of Kα1 and Kα2)).
Lines closer than 0.1° are merged.

Peak list (12 most intense, 2θ from 15° to 90°, in order of rising 2θ)
- 15.93°, intensity 17.2
- 21.53°, intensity 36.7
- 28.00°, intensity 57.1
- 31.41°, intensity 58.2
- 31.61°, intensity 100.0
- 32.18°, intensity 28.5
- 39.21°, intensity 40.8
- 40.60°, intensity 24.1
- 46.72°, intensity 16.0
- 50.04°, intensity 23.6
- 51.60°, intensity 20.8
- 57.39°, intensity 20.9

Structure:
Cell: 3.8884 5.9910 5.9910 Å, 43.54 90.00 90.00°
Positions (direct):
Sr (0.0000, 0.0000, 0.0000)
Er (0.5000, 0.7197, 0.7197)
Si (0.0000, 0.2778, 0.2778)
Si (0.5000, 0.4148, 0.4148)